Theoretical powder XRD pattern
Compound: ZnCu
Radiation: Cu Kα (weighted mean of Kα1 and Kα2)
Structure: a cell relaxed with GGA-PBE
Intensities are scaled so that the largest is 100.

Crystal structure
```
data_ZnCu
_cell_length_a 8.4069
_cell_length_b 7.4494
_cell_length_c 5.0763
_cell_angle_alpha 90.00
_cell_angle_beta 90.00
_cell_angle_gamma 90.00
_space_group_name_H-M_alt 'P b c m'
_space_group_IT_number 57
loop_
_space_group_symop_operation_xyz
'x,y,z'
'-x,-y,-z'
'-x,-y,z+1/2'
'x,y,-z+1/2'
'x,-y+1/2,-z'
'-x,y+1/2,z'
'-x,y+1/2,-z+1/2'
'x,-y+1/2,z+1/2'
loop_
_atom_site_label
_atom_site_type_symbol
_atom_site_fract_x
_atom_site_fract_y
_atom_site_fract_z
_atom_site_occupancy
Zn1 Zn 0.1070 0.0581 0.2500 1
Zn2 Zn 0.3563 0.6013 0.2500 1
Zn3 Zn 0.3814 0.2500 0.0000 1
Cu1 Cu 0.1206 0.7500 0.0000 1
Cu2 Cu 0.1364 0.1168 0.7500 1
Cu3 Cu 0.3819 0.5649 0.7500 1
```

Top 8 peaks for 15 to 90 degrees two-theta, in order of rising 2θ:
42.27°, intensity 100, hkl 2 3 0
43.08°, intensity 96, hkl 4 0 0
43.38°, intensity 96, hkl 2 1 2
61.78°, intensity 14, hkl 0 4 2
62.57°, intensity 26, hkl 4 2 2
78.25°, intensity 13, hkl 4 4 2
79.13°, intensity 12, hkl 6 1 2
89.89°, intensity 20, hkl 2 3 4